1.
Starting from DFT lattice parameters and positions (GGA-PBE), the powder XRD pattern of BeCu2 was calculated for a wavelength of 1.5418 Å.
Intensities are scaled so that the largest is 100.

Crystal structure
Unit cell a=3.458 b=3.458 c=21.503 alpha=90.00 beta=90.00 gamma=90.00
Space group I4_1/amd (No. 141, origin choice 2)
Symmetry-distinct sites (fractional):
Be: 0.000 0.250 0.291
Cu: 0.000 0.250 0.124
Cu: 0.000 0.250 0.790

The 10 most intense peaks (2θ from 10° to 80°), in order of rising 2θ:
Position (°2θ)	intensity	hkl
16.5	12.1	0 0 4
26.1	31.3	1 0 1
33.3	21.8	1 0 5
37.7	8.9	1 1 2
39.2	10.2	1 0 7
44.9	100.0	1 1 6
51.0	16.6	0 0 12
53.0	29.7	2 0 0
76.6	18.0	2 0 12
78.2	8.6	2 2 0

=====

2.
Starting from DFT lattice parameters and positions (GGA-PBE), the powder XRD pattern of ZrTiAgS4 was calculated for a wavelength of 1.5418 Å.
Intensities are scaled so that the largest is 100.

Crystal structure
Unit cell a=7.338 b=7.617 c=10.543 alpha=90.00 beta=90.00 gamma=90.00
Space group Imma (No. 74)
Symmetry-distinct sites (fractional):
Zr: 0.000 0.000 0.000
Ti: 0.250 0.250 0.250
Ag: 0.000 0.250 0.637
S: 0.000 0.030 0.245
S: 0.238 0.250 0.014

The 10 most intense peaks (2θ from 10° to 80°), in order of rising 2θ:
Position (°2θ)	intensity	hkl
23.8	69.5	1 1 2
24.3	32.8	2 0 0
27.7	100.0	1 2 1
28.2	62.8	1 0 3
28.3	57.0	2 1 1
34.0	40.3	0 0 4
44.2	29.8	2 3 1
44.9	32.4	3 2 1
47.8	26.3	0 4 0
48.8	99.5	2 2 4

=====

3.
Starting from DFT lattice parameters and positions (GGA-PBE), the powder XRD pattern of Mg6CoSb was calculated for a wavelength of 1.5418 Å.
Intensities are scaled so that the largest is 100.

Crystal structure
Unit cell a=4.846 b=6.274 c=10.745 alpha=90.00 beta=90.00 gamma=90.00
Space group Amm2 (No. 38)
Symmetry-distinct sites (fractional):
Mg: 0.000 0.000 0.000
Mg: 0.000 0.000 0.487
Mg: 0.000 0.230 0.249
Mg: 0.500 0.248 0.578
Co: 0.500 0.000 0.327
Sb: 0.500 0.000 0.830

The 10 most intense peaks (2θ from 10° to 80°), in order of rising 2θ:
Position (°2θ)	intensity	hkl
16.5	40.8	0 0 2
18.3	30.8	1 0 0
24.7	43.9	1 0 2
33.1	34.0	0 2 2
37.1	34.3	2 0 0
38.1	100.0	1 2 2
38.3	48.6	1 0 4
50.5	20.8	2 2 2
59.4	17.8	0 2 6
72.2	17.4	2 2 6

=====

4.
Starting from DFT lattice parameters and positions (GGA-PBE), the powder XRD pattern of Pm2Ho4Ge3H2 was calculated for a wavelength of 1.5418 Å.
Intensities are scaled so that the largest is 100.

Crystal structure
Unit cell a=4.557 b=4.557 c=23.570 alpha=90.00 beta=90.00 gamma=90.00
Space group I4/mmm (No. 139)
Symmetry-distinct sites (fractional):
Pm: 0.000 0.000 0.201
Ho: 0.000 0.500 0.080
Ge: 0.000 0.000 0.331
Ge: 0.000 0.000 0.500
H: 0.000 0.000 0.097

The 10 most intense peaks (2θ from 10° to 80°), in order of rising 2θ:
Position (°2θ)	intensity	hkl
22.6	19.8	0 0 6
28.7	70.8	1 1 2
30.3	19.7	0 0 8
31.6	22.0	1 1 4
33.1	20.0	1 0 7
36.0	100.0	1 1 6
39.5	58.9	2 0 0
50.6	19.0	2 0 8
57.2	20.0	2 2 0
69.5	38.6	3 1 6

=====

5.
Starting from DFT lattice parameters and positions (GGA-PBE), the powder XRD pattern of Si2P was calculated for a wavelength of 1.5418 Å.
Intensities are scaled so that the largest is 100.

Crystal structure
Unit cell a=10.223 b=3.641 c=6.737 alpha=90.00 beta=98.97 gamma=90.00
Space group C2/m (No. 12)
Symmetry-distinct sites (fractional):
Si: 0.005 0.000 0.326
Si: 0.236 0.000 0.390
P: 0.109 0.500 0.824

The 10 most intense peaks (2θ from 10° to 80°), in order of rising 2θ:
Position (°2θ)	intensity	hkl
13.3	47.9	0 0 1
23.7	28.2	2 0 1
29.8	41.5	2 0 -2
30.0	100.0	1 1 1
36.0	27.6	4 0 -1
47.7	35.8	1 1 -3
48.3	33.2	3 1 2
50.1	26.7	0 2 0
51.8	24.6	5 1 0
55.5	22.2	5 1 -2

=====

6.
Starting from DFT lattice parameters and positions (GGA-PBE), the powder XRD pattern of CeTmS3 was calculated for a wavelength of 1.5418 Å.
Intensities are scaled so that the largest is 100.

Crystal structure
Unit cell a=7.782 b=3.918 c=7.829 alpha=90.00 beta=94.83 gamma=90.00
Space group P2_1/m (No. 11)
Symmetry-distinct sites (fractional):
Ce: 0.122 0.250 0.269
Tm: 0.353 0.750 0.828
S: 0.125 0.250 0.886
S: 0.185 0.750 0.525
S: 0.404 0.750 0.179

The 10 most intense peaks (2θ from 10° to 80°), in order of rising 2θ:
Position (°2θ)	intensity	hkl
22.8	47.5	0 0 2
24.7	62.9	2 0 -1
25.4	97.1	0 1 1
26.5	46.2	2 0 1
32.5	100.0	2 1 0
33.8	27.6	2 1 -1
38.9	25.8	2 1 -2
41.2	41.0	2 1 2
42.5	37.3	1 1 -3
46.3	25.8	0 2 0